Entry 1:
Structure and theoretical PXRD pattern of Cu2ReSi (a PBE-relaxed structure; Cu Kα, 1.54184 Å).
No peak broadening, texture or thermal motion is included.

Principal peaks in the range 2θ from 10° to 90°, sorted by position:
2theta, I/Imax
21.4, 77
22.8, 59
38.7, 69
43.5, 63
43.6, 100
45.6, 92

Cell: 9.1668 2.6827 4.6883 Å, 90.00 114.87 90.00°
Space group Cm (No. 8)
Asymmetric unit:
1 Cu 0.0000 0.0000 0.0000 (multiplicity 2)
2 Cu 0.2470 0.0000 0.9037 (multiplicity 2)
3 Re 0.2597 0.5000 0.4163 (multiplicity 2)
4 Si 0.0067 0.5000 0.4877 (multiplicity 2)

***

Entry 2:
Structure and theoretical PXRD pattern of NdGa3Ir (a PBE-relaxed structure; Cu Kα, 1.54184 Å).
No peak broadening, texture or thermal motion is included.

Principal peaks in the range 2θ from 10° to 90°, sorted by position:
2theta, I/Imax
26.5, 47
29.1, 45
33.7, 100
39.9, 93
41.6, 79
59.0, 59

Cell: 4.3419 4.3419 5.2978 Å, 90.00 90.00 90.00°
Space group P4mm (No. 99)
Asymmetric unit:
1 Nd 0.0000 0.0000 0.0000 (multiplicity 1)
2 Ga 0.0000 0.5000 0.4819 (multiplicity 2)
3 Ga 0.5000 0.5000 0.7806 (multiplicity 1)
4 Ir 0.5000 0.5000 0.2418 (multiplicity 1)

***

Entry 3:
Structure and theoretical PXRD pattern of BaTiH2F8 (a PBE-relaxed structure; Cu Kα, 1.54184 Å).
No peak broadening, texture or thermal motion is included.

Principal peaks in the range 2θ from 10° to 90°, sorted by position:
2theta, I/Imax
19.4, 100
20.3, 50
29.5, 33
33.7, 23
35.1, 28
42.0, 28

Cell: 5.2492 5.2541 7.4381 Å, 77.46 77.46 61.46°
Space group P-1 (No. 2)
Asymmetric unit:
1 Ba 0.0000 0.0000 0.0000 (multiplicity 1)
2 Ti 0.0000 0.0000 0.5000 (multiplicity 1)
3 H 0.2760 0.2770 0.2334 (multiplicity 2)
4 F 0.2174 0.2193 0.4140 (multiplicity 2)
5 F 0.2325 0.7598 0.3142 (multiplicity 2)
6 F 0.2411 0.7690 0.6856 (multiplicity 2)
7 F 0.3074 0.3080 0.0883 (multiplicity 2)

***

Entry 4:
Structure and theoretical PXRD pattern of Cs6HAu2I (a PBE-relaxed structure; Cu Kα, 1.54184 Å).
No peak broadening, texture or thermal motion is included.

Principal peaks in the range 2θ from 10° to 90°, sorted by position:
2theta, I/Imax
13.5, 41
22.6, 100
29.0, 93
35.1, 53
46.2, 26
56.1, 32

Cell: 8.8511 8.8511 25.6584 Å, 90.00 90.00 120.00°
Space group R3 (No. 146, hexagonal axes)
Asymmetric unit:
1 Cs 0.0276 0.3513 0.0000 (multiplicity 9)
2 Cs 0.0426 0.6749 0.1565 (multiplicity 9)
3 H 0.0000 0.0000 0.4119 (multiplicity 3)
4 Au 0.0000 0.0000 0.0826 (multiplicity 3)
5 Au 0.0000 0.0000 0.5898 (multiplicity 3)
6 I 0.0000 0.0000 0.9038 (multiplicity 3)

***

Entry 5:
Structure and theoretical PXRD pattern of K8Zr6BBr20 (a PBE-relaxed structure; Cu Kα, 1.54184 Å).
No peak broadening, texture or thermal motion is included.

Principal peaks in the range 2θ from 10° to 90°, sorted by position:
2theta, I/Imax
10.7, 40
27.9, 66
31.9, 35
32.4, 100
46.4, 66
55.1, 28

Cell: 16.5912 16.5912 16.5912 Å, 90.00 90.00 90.00°
Space group Fm-3m (No. 225)
Asymmetric unit:
1 K 0.1396 0.1396 0.1396 (multiplicity 32)
2 Zr 0.0000 0.0000 0.3596 (multiplicity 24)
3 B 0.0000 0.0000 0.5000 (multiplicity 4)
4 Br 0.0000 0.0000 0.1836 (multiplicity 24)
5 Br 0.0000 0.1639 0.3361 (multiplicity 48)
6 Br 0.2500 0.2500 0.2500 (multiplicity 8)

***

Entry 6:
Structure and theoretical PXRD pattern of LiCuPO4 (a PBE-relaxed structure; Cu Kα, 1.54184 Å).
No peak broadening, texture or thermal motion is included.

Principal peaks in the range 2θ from 10° to 90°, sorted by position:
2theta, I/Imax
18.2, 88
23.9, 100
29.1, 46
30.2, 92
36.9, 38
41.4, 71

Cell: 7.4538 7.4538 9.7472 Å, 90.00 90.00 120.00°
Space group P31c (No. 159)
Asymmetric unit:
1 Li 0.0670 0.5695 0.0000 (multiplicity 6)
2 Cu 0.0485 0.2809 0.7816 (multiplicity 6)
3 P 0.0000 0.0000 0.0145 (multiplicity 2)
4 P 0.3333 0.6667 0.2800 (multiplicity 2)
5 P 0.3333 0.6667 0.6809 (multiplicity 2)
6 O 0.0000 0.0000 0.1796 (multiplicity 2)
7 O 0.0966 0.8706 0.9624 (multiplicity 6)
8 O 0.1131 0.5206 0.3395 (multiplicity 6)
9 O 0.1481 0.4607 0.6242 (multiplicity 6)
10 O 0.3333 0.6667 0.1221 (multiplicity 2)
11 O 0.3333 0.6667 0.8395 (multiplicity 2)

***

Entry 7:
Structure and theoretical PXRD pattern of VBRu2 (a PBE-relaxed structure; Cu Kα, 1.54184 Å).
No peak broadening, texture or thermal motion is included.

Principal peaks in the range 2θ from 10° to 90°, sorted by position:
2theta, I/Imax
35.4, 66
38.6, 65
41.7, 54
43.2, 79
43.6, 68
43.7, 100

Cell: 10.2760 2.8338 6.5052 Å, 90.00 93.68 90.00°
Space group C2/m (No. 12)
Asymmetric unit:
1 V 0.1312 0.0000 0.4750 (multiplicity 4)
2 B 0.0944 0.0000 0.0465 (multiplicity 4)
3 Ru 0.0299 0.5000 0.7869 (multiplicity 4)
4 Ru 0.2377 0.5000 0.1894 (multiplicity 4)